Diffraction record for ZnSiRh2. The powder diffraction line list is theoretical, not measured: it uses DFT lattice parameters and positions (GGA-PBE) and Cu Kα (weighted mean of Kα1 and Kα2).
Kinematic intensities with the Lorentz-polarization factor, no thermal factor.

Peak list (9 most intense, 2θ = 10–80°, by angle)
| 2θ/deg | I (rel.) | index |
| --- | --- | --- |
| 25.81 | 4.8 | 1 1 1 |
| 29.89 | 17.2 | 2 0 0 |
| 42.78 | 100.0 | 2 2 0 |
| 50.64 | 2.3 | 3 1 1 |
| 53.07 | 4.6 | 2 2 2 |
| 62.10 | 16.0 | 4 0 0 |
| 68.40 | 0.8 | 3 3 1 |
| 70.44 | 5.9 | 4 2 0 |
| 78.36 | 32.1 | 4 2 2 |

Structural model:
```
data_ZnSiRh2
_chemical_formula_sum 'Zn4 Si4 Rh8'
_space_group_name_H-M_alt 'F m -3 m'
_space_group_IT_number 225
_space_group_name_Hall '-F 4 2 3'
_cell_length_a 5.978
_cell_length_b 5.978
_cell_length_c 5.978
_cell_angle_alpha 90.00
_cell_angle_beta 90.00
_cell_angle_gamma 90.00
loop_
_atom_site_label
_atom_site_type_symbol
_atom_site_fract_x
_atom_site_fract_y
_atom_site_fract_z
Zn1 Zn 0.000 0.000 0.000
Si1 Si 0.000 0.000 0.500
Rh1 Rh 0.250 0.250 0.250
```